(1)
The following is a calculated XRD peak list of Pm2PuSi3Ni4. It was derived from a cell relaxed with PBE, using a wavelength of 1.5418 Å.

Largest 8 diffraction maxima, most intense first, 2θ = 10–90°:
- (1 1 2), 35.5 deg, rel. 100
- (2 0 0), 43.5 deg, rel. 42
- (1 0 1), 23.2 deg, rel. 35
- (1 0 3), 34.7 deg, rel. 34
- (1 0 2), 28.0 deg, rel. 23
- (3 1 2), 74.7 deg, rel. 23
- (2 1 3), 56.8 deg, rel. 17
- (1 0 0), 21.4 deg, rel. 14

Structural model:
Unit cell a=4.159 b=4.159 c=9.912 alpha=90.00 beta=90.00 gamma=90.00
Space group P-4m2 (No. 115)
Asymmetric unit:
Pm (0.000, 0.500, 0.228) [2 per cell]
Pu (0.000, 0.000, 0.500) [1 per cell]
Si (0.000, 0.500, 0.886) [2 per cell]
Si (0.500, 0.500, 0.500) [1 per cell]
Ni (0.000, 0.000, 0.000) [1 per cell]
Ni (0.000, 0.500, 0.654) [2 per cell]
Ni (0.500, 0.500, 0.000) [1 per cell]



(2)
The following is a calculated XRD peak list of Pm7NiRh4. It was derived from a cell relaxed with PBE, using a wavelength of 1.5418 Å.

Largest 8 diffraction maxima, most intense first, 2θ = 10–90°:
- (3 1 -2), 31.7 deg, rel. 100
- (2 0 3), 29.6 deg, rel. 84
- (2 0 -4), 30.0 deg, rel. 84
- (3 1 1), 32.8 deg, rel. 78
- (3 1 -1), 30.1 deg, rel. 76
- (0 2 0), 45.5 deg, rel. 67
- (3 1 0), 30.5 deg, rel. 65
- (3 1 -3), 34.9 deg, rel. 56

Structural model:
Unit cell a=13.386 b=3.986 c=12.153 alpha=90.00 beta=105.04 gamma=90.00
Space group Cm (No. 8)
Asymmetric unit:
Pm (0.000, 0.000, 0.000) [2 per cell]
Pm (0.016, 0.500, 0.280) [2 per cell]
Pm (0.100, 0.500, 0.590) [2 per cell]
Pm (0.217, 0.000, 0.855) [2 per cell]
Pm (0.258, 0.500, 0.144) [2 per cell]
Pm (0.297, 0.000, 0.423) [2 per cell]
Pm (0.413, 0.500, 0.688) [2 per cell]
Ni (0.141, 0.000, 0.217) [2 per cell]
Rh (0.056, 0.500, 0.831) [2 per cell]
Rh (0.257, 0.000, 0.639) [2 per cell]
Rh (0.373, 0.000, 0.065) [2 per cell]
Rh (0.457, 0.500, 0.444) [2 per cell]



(3)
The following is a calculated XRD peak list of Pm2Ni3Rh. It was derived from a cell relaxed with PBE, using a wavelength of 1.5418 Å.

Largest 8 diffraction maxima, most intense first, 2θ = 10–90°:
- (1 1 3), 40.7 deg, rel. 100
- (1 1 0), 34.9 deg, rel. 62
- (0 1 5), 39.8 deg, rel. 59
- (1 0 4), 33.9 deg, rel. 38
- (0 2 1), 41.1 deg, rel. 32
- (2 0 2), 42.8 deg, rel. 29
- (1 2 5), 65.8 deg, rel. 26
- (2 0 8), 71.3 deg, rel. 23

Structural model:
Unit cell a=5.1471 b=5.1471 c=13.1401 alpha=90.00 beta=90.00 gamma=120.00
Space group R-3m (No. 166, hexagonal axes)
Asymmetric unit:
Pm (0.0000, 0.0000, 0.1232) [6 per cell]
Ni (0.0000, 0.5000, 0.0000) [9 per cell]
Rh (0.0000, 0.0000, 0.5000) [3 per cell]



(4)
The following is a calculated XRD peak list of Pm2Ni4Sb3Rh. It was derived from a cell relaxed with PBE, using a wavelength of 1.5418 Å.

Largest 8 diffraction maxima, most intense first, 2θ = 10–90°:
- (1 1 2), 34.4 deg, rel. 100
- (1 0 3), 33.2 deg, rel. 65
- (2 0 0), 42.6 deg, rel. 62
- (2 1 3), 55.0 deg, rel. 30
- (1 0 5), 48.5 deg, rel. 29
- (3 1 2), 72.7 deg, rel. 24
- (2 1 5), 66.5 deg, rel. 22
- (2 2 0), 61.8 deg, rel. 20

Structural model:
Unit cell a=4.249 b=4.249 c=10.466 alpha=90.00 beta=90.00 gamma=90.00
Space group P-4m2 (No. 115)
Asymmetric unit:
Pm (0.000, 0.500, 0.245) [2 per cell]
Ni (0.000, 0.000, 0.500) [1 per cell]
Ni (0.000, 0.500, 0.867) [2 per cell]
Ni (0.500, 0.500, 0.500) [1 per cell]
Sb (0.000, 0.000, 0.000) [1 per cell]
Sb (0.000, 0.500, 0.630) [2 per cell]
Rh (0.500, 0.500, 0.000) [1 per cell]



(5)
The following is a calculated XRD peak list of PmSi2NiRh. It was derived from a cell relaxed with PBE, using a wavelength of 1.5418 Å.

Largest 8 diffraction maxima, most intense first, 2θ = 10–90°:
- (1 1 2), 36.2 deg, rel. 100
- (1 0 3), 34.8 deg, rel. 39
- (2 0 0), 44.8 deg, rel. 37
- (1 0 1), 23.7 deg, rel. 36
- (3 1 2), 76.9 deg, rel. 21
- (2 1 3), 58.0 deg, rel. 18
- (1 1 6), 64.7 deg, rel. 17
- (0 0 4), 35.9 deg, rel. 17

Structural model:
Unit cell a=4.044 b=4.044 c=10.016 alpha=90.00 beta=90.00 gamma=90.00
Space group I-4m2 (No. 119)
Asymmetric unit:
Pm (0.000, 0.000, 0.000) [2 per cell]
Si (0.000, 0.000, 0.377) [4 per cell]
Ni (0.000, 0.500, 0.750) [2 per cell]
Rh (0.000, 0.500, 0.250) [2 per cell]



(6)
The following is a calculated XRD peak list of PmYNiRu. It was derived from a cell relaxed with PBE, using a wavelength of 1.5418 Å.

Largest 8 diffraction maxima, most intense first, 2θ = 10–90°:
- (1 0 2), 36.9 deg, rel. 100
- (1 1 0), 37.0 deg, rel. 50
- (2 1 2), 66.6 deg, rel. 34
- (1 1 4), 66.3 deg, rel. 17
- (2 0 0), 53.3 deg, rel. 17
- (2 0 4), 78.4 deg, rel. 10
- (0 0 4), 52.9 deg, rel. 9
- (0 0 1), 12.8 deg, rel. 8

Structural model:
Unit cell a=3.435 b=3.435 c=6.926 alpha=90.00 beta=90.00 gamma=90.00
Space group P4mm (No. 99)
Asymmetric unit:
Pm (0.000, 0.000, 0.000) [1 per cell]
Y (0.000, 0.000, 0.497) [1 per cell]
Ni (0.500, 0.500, 0.741) [1 per cell]
Ru (0.500, 0.500, 0.253) [1 per cell]



(7)
The following is a calculated XRD peak list of Pm2ScNi4Sb3. It was derived from a cell relaxed with PBE, using a wavelength of 1.5418 Å.

Largest 8 diffraction maxima, most intense first, 2θ = 10–90°:
- (1 1 2), 33.9 deg, rel. 100
- (1 0 3), 32.7 deg, rel. 73
- (2 0 0), 42.0 deg, rel. 68
- (2 1 3), 54.2 deg, rel. 34
- (1 0 5), 47.6 deg, rel. 30
- (1 1 0), 29.4 deg, rel. 27
- (2 1 5), 65.3 deg, rel. 23
- (2 2 0), 60.9 deg, rel. 22

Structural model:
Unit cell a=4.303 b=4.303 c=10.670 alpha=90.00 beta=90.00 gamma=90.00
Space group P-4m2 (No. 115)
Asymmetric unit:
Pm (0.000, 0.500, 0.227) [2 per cell]
Sc (0.000, 0.000, 0.500) [1 per cell]
Ni (0.000, 0.000, 0.000) [1 per cell]
Ni (0.000, 0.500, 0.637) [2 per cell]
Ni (0.500, 0.500, 0.000) [1 per cell]
Sb (0.000, 0.500, 0.870) [2 per cell]
Sb (0.500, 0.500, 0.500) [1 per cell]



(8)
The following is a calculated XRD peak list of PmScSi2Ni2. It was derived from a cell relaxed with PBE, using a wavelength of 1.5418 Å.

Largest 8 diffraction maxima, most intense first, 2θ = 10–90°:
- (0 1 2), 36.2 deg, rel. 100
- (1 0 1), 28.1 deg, rel. 58
- (1 1 0), 43.8 deg, rel. 58
- (2 0 2), 58.1 deg, rel. 24
- (1 2 2), 75.5 deg, rel. 22
- (1 1 3), 60.2 deg, rel. 22
- (1 0 0), 24.9 deg, rel. 17
- (0 0 3), 39.2 deg, rel. 13

Structural model:
Unit cell a=4.1339 b=4.1339 c=6.8929 alpha=90.00 beta=90.00 gamma=120.00
Space group P-3m1 (No. 164)
Asymmetric unit:
Pm (0.0000, 0.0000, 0.0000) [1 per cell]
Sc (0.0000, 0.0000, 0.5000) [1 per cell]
Si (0.3333, 0.6667, 0.2914) [2 per cell]
Ni (0.3333, 0.6667, 0.6856) [2 per cell]